(1)
The following is a calculated PXRD pattern of Al2Sb2Pd. It was derived from a GGA-PBE-relaxed structure, using Cu Kα (λ = 1.5418 Å).
Lines closer than 0.1° are merged.

The 10 most intense peaks (5° ≤ 2θ ≤ 70°), in order of rising 2θ:
- 27.04 deg, intensity 31
- 29.35 deg, intensity 23
- 32.93 deg, intensity 100
- 35.54 deg, intensity 82
- 37.37 deg, intensity 26
- 39.82 deg, intensity 32
- 41.98 deg, intensity 32
- 55.73 deg, intensity 29
- 59.24 deg, intensity 23
- 59.62 deg, intensity 26

Atomic structure:
```
10
Lattice="6.806 0.000 0.000 0.000 6.806 0.000 0.000 0.000 4.527" Properties=species:S:1:pos:R:3 pbc="T T T"
Al 0.934 2.469 0.000
Al 2.469 5.872 0.000
Al 4.337 0.934 0.000
Al 5.872 4.337 0.000
Sb 1.289 4.691 2.264
Sb 2.114 1.289 2.264
Sb 4.691 5.517 2.264
Sb 5.517 2.114 2.264
Pd 0.000 0.000 0.000
Pd 3.403 3.403 0.000
```



(2)
The following is a calculated PXRD pattern of LiCaAlAu6. It was derived from a GGA-PBE-relaxed structure, using Cu Kα (λ = 1.5418 Å).
Lines closer than 0.1° are merged.

The 10 most intense peaks (5° ≤ 2θ ≤ 70°), in order of rising 2θ:
- 18.32 deg, intensity 25
- 22.26 deg, intensity 55
- 22.42 deg, intensity 33
- 25.25 deg, intensity 45
- 31.37 deg, intensity 35
- 31.49 deg, intensity 43
- 37.12 deg, intensity 50
- 37.52 deg, intensity 100
- 42.76 deg, intensity 49
- 45.77 deg, intensity 42

Atomic structure:
```
18
Lattice="-2.758 4.844 7.054 2.758 -4.844 7.054 2.758 4.844 -7.054" Properties=species:S:1:pos:R:3 pbc="T T T"
Li -1.379 2.422 3.527
Li 1.379 2.422 3.527
Ca 2.758 2.422 -2.266
Ca 0.000 2.422 9.320
Al 0.000 0.000 0.000
Al 0.000 4.844 0.000
Au 1.383 0.208 2.110
Au 4.134 0.208 2.110
Au 2.758 -2.422 6.122
Au 2.758 2.422 0.901
Au 1.383 5.052 -2.110
Au 1.376 0.208 4.944
Au 1.383 4.635 2.110
Au 1.376 -0.208 9.164
Au 0.000 2.422 6.153
Au 0.000 7.265 0.932
Au -1.376 4.635 4.944
Au 1.376 4.635 4.944
```



(3)
The following is a calculated PXRD pattern of SnI3Br4. It was derived from a GGA-PBE-relaxed structure, using Cu Kα (λ = 1.5418 Å).
Lines closer than 0.1° are merged.

The 10 most intense peaks (5° ≤ 2θ ≤ 70°), in order of rising 2θ:
- 14.92 deg, intensity 51
- 15.93 deg, intensity 28
- 16.34 deg, intensity 72
- 22.20 deg, intensity 100
- 22.66 deg, intensity 34
- 28.99 deg, intensity 32
- 36.43 deg, intensity 31
- 37.30 deg, intensity 25
- 42.20 deg, intensity 22
- 48.69 deg, intensity 21

Atomic structure:
```
8
Lattice="-5.425 7.396 3.241 5.425 -7.396 3.241 5.425 7.396 -3.241" Properties=species:S:1:pos:R:3 pbc="T T T"
Sn 0.000 0.000 0.000
I 5.425 2.859 -1.124
I 0.000 4.537 2.117
I 0.000 7.396 2.090
Br 3.409 7.396 -1.790
Br 2.017 0.000 1.450
Br 5.425 5.365 1.811
Br 0.000 2.030 5.051
```



(4)
The following is a calculated PXRD pattern of Ho2SiS4. It was derived from a GGA-PBE-relaxed structure, using Cu Kα (λ = 1.5418 Å).
Lines closer than 0.1° are merged.

The 10 most intense peaks (5° ≤ 2θ ≤ 70°), in order of rising 2θ:
- 15.35 deg, intensity 49
- 20.65 deg, intensity 51
- 25.83 deg, intensity 100
- 33.30 deg, intensity 32
- 37.52 deg, intensity 23
- 42.02 deg, intensity 21
- 43.21 deg, intensity 40
- 47.26 deg, intensity 16
- 49.99 deg, intensity 32
- 69.05 deg, intensity 15

Atomic structure:
```
7
Lattice="-3.041 3.041 5.774 3.041 -3.041 5.774 3.041 3.041 -5.774" Properties=species:S:1:pos:R:3 pbc="T T T"
Ho 3.041 0.000 2.887
Ho 0.000 3.041 2.887
Si 0.000 0.000 0.000
S 1.612 -1.612 4.359
S 1.428 1.428 1.414
S -1.612 1.612 4.359
S 1.612 1.612 7.188
```